# EuSn5
Computed XRD peak list, Cu Kα. Input: a structure optimized by DFT (PBE).
Lines closer than 0.1° are merged.

Top 12 peaks for 2θ from 15° to 90°, sorted by position:
32.35°, intensity 100
36.23°, intensity 18
36.69°, intensity 18
39.57°, intensity 15
52.52°, intensity 13
54.73°, intensity 11
55.06°, intensity 11
62.74°, intensity 15
63.34°, intensity 15
67.27°, intensity 13
67.71°, intensity 12
86.45°, intensity 7

Structural model:
abc: 7.831 7.831 4.555
angles: 90.00 90.00 143.54
Fractional positions:
1 Eu 0.000 0.000 0.000
2 Sn 0.172 0.828 0.500
3 Sn 0.338 0.662 0.000
4 Sn 0.500 0.500 0.500
5 Sn 0.662 0.338 0.000
6 Sn 0.828 0.172 0.500